Theoretical powder X-ray diffraction pattern of MnAg3Se4 for Cu Kα (λ = 1.5418 Å), from DFT lattice parameters and positions (GGA-PBE).

a b c (Å): 5.960 5.960 11.480
angles (deg): 90.00 90.00 90.00
Sites, in units of the cell vectors:
Mn1 0.000 0.000 0.000
Mn2 0.500 0.500 0.500
Ag1 0.000 0.000 0.500
Ag2 0.000 0.500 0.250
Ag3 0.000 0.500 0.750
Ag4 0.500 0.000 0.250
Ag5 0.500 0.000 0.750
Ag6 0.500 0.500 0.000
Se1 0.226 0.226 0.886
Se2 0.226 0.774 0.114
Se3 0.274 0.274 0.386
Se4 0.274 0.726 0.614
Se5 0.726 0.274 0.614
Se6 0.726 0.726 0.386
Se7 0.774 0.226 0.114
Se8 0.774 0.774 0.886

Peak list (12 most intense, 2θ = 5–70°, in order of rising 2θ)
two_theta	I_rel
26.2	100
27.7	2
33.9	2
34.5	5
42.9	24
43.8	46
46.4	2
51.0	28
52.5	13
62.3	7
65.0	4
68.8	5